Entry 1:
Calculated powder X-ray diffraction pattern of TaS3 for a wavelength of 1.5418 Å, from a DFT-relaxed cell (GGA-PBE, the Materials Project).
No peak broadening, texture or thermal motion is included.

Largest 10 diffraction maxima, in order of falling intensity, 10° ≤ 2θ ≤ 90°:
18.69 deg, 4.749 Å, rel. 100; 32.63 deg, 2.744 Å, rel. 61; 29.55 deg, 3.023 Å, rel. 47; 12.81 deg, 6.909 Å, rel. 39; 21.66 deg, 4.102 Å, rel. 37; 34.44 deg, 2.604 Å, rel. 36; 45.03 deg, 2.013 Å, rel. 33; 39.09 deg, 2.304 Å, rel. 30; 46.83 deg, 1.940 Å, rel. 28; 47.96 deg, 1.897 Å, rel. 27

a = 10.057 Å, b = 3.364 Å, c = 15.095 Å
α = 90.00°, β = 109.24°, γ = 90.00°
Fractional positions:
Ta 0.135 0.250 0.117
Ta 0.181 0.250 0.795
Ta 0.193 0.750 0.540
Ta 0.807 0.250 0.460
Ta 0.819 0.750 0.205
Ta 0.865 0.750 0.883
S 0.018 0.250 0.246
S 0.051 0.250 0.593
S 0.059 0.250 0.935
S 0.248 0.250 0.432
S 0.288 0.750 0.231
S 0.301 0.750 0.721
S 0.313 0.750 0.097
S 0.313 0.750 0.911
S 0.390 0.250 0.568
S 0.610 0.750 0.432
S 0.687 0.250 0.089
S 0.687 0.250 0.903
S 0.699 0.250 0.279
S 0.712 0.250 0.769
S 0.752 0.750 0.568
S 0.941 0.750 0.065
S 0.949 0.750 0.407
S 0.982 0.750 0.754

Entry 2:
Calculated powder X-ray diffraction pattern of TaS2 for a wavelength of 1.5418 Å, from a DFT-relaxed cell (GGA-PBE, the Materials Project).
No peak broadening, texture or thermal motion is included.

Largest 10 diffraction maxima, in order of falling intensity, 10° ≤ 2θ ≤ 90°:
15.42 deg, 5.746 Å, rel. 100; 31.14 deg, 2.872 Å, rel. 73; 36.69 deg, 2.449 Å, rel. 67; 33.08 deg, 2.708 Å, rel. 65; 41.59 deg, 2.171 Å, rel. 57; 47.47 deg, 1.915 Å, rel. 44; 34.70 deg, 2.585 Å, rel. 33; 31.88 deg, 2.807 Å, rel. 32; 39.00 deg, 2.310 Å, rel. 32; 55.10 deg, 1.667 Å, rel. 29

a = 11.852 Å, b = 3.343 Å, c = 11.614 Å
α = 85.88°, β = 16.34°, γ = 77.79°
Fractional positions:
Ta 0.000 0.000 0.000
S 0.265 0.401 0.599
S 0.401 0.265 0.735

Entry 3:
Calculated powder X-ray diffraction pattern of Ta6S for a wavelength of 1.5418 Å, from a DFT-relaxed cell (GGA-PBE, the Materials Project).
No peak broadening, texture or thermal motion is included.

Largest 10 diffraction maxima, in order of falling intensity, 10° ≤ 2θ ≤ 90°:
37.16 deg, 2.420 Å, rel. 100; 39.91 deg, 2.259 Å, rel. 69; 37.37 deg, 2.407 Å, rel. 67; 39.67 deg, 2.272 Å, rel. 67; 34.94 deg, 2.568 Å, rel. 65; 38.62 deg, 2.331 Å, rel. 52; 43.03 deg, 2.102 Å, rel. 44; 38.70 deg, 2.327 Å, rel. 41; 41.95 deg, 2.154 Å, rel. 36; 34.42 deg, 2.606 Å, rel. 32

a = 7.601 Å, b = 7.601 Å, c = 14.893 Å
α = 116.19°, β = 116.19°, γ = 40.94°
Fractional positions:
Ta 0.002 0.320 0.046
Ta 0.063 0.358 0.397
Ta 0.110 0.818 0.826
Ta 0.159 0.345 0.748
Ta 0.182 0.890 0.674
Ta 0.213 0.575 0.183
Ta 0.274 0.599 0.406
Ta 0.320 0.002 0.546
Ta 0.345 0.159 0.248
Ta 0.358 0.063 0.897
Ta 0.401 0.726 0.094
Ta 0.425 0.787 0.317
Ta 0.575 0.213 0.683
Ta 0.599 0.274 0.906
Ta 0.642 0.937 0.103
Ta 0.655 0.841 0.752
Ta 0.680 0.998 0.454
Ta 0.726 0.401 0.594
Ta 0.787 0.425 0.817
Ta 0.818 0.110 0.326
Ta 0.841 0.655 0.252
Ta 0.890 0.182 0.174
Ta 0.937 0.642 0.603
Ta 0.998 0.680 0.954
S 0.307 0.476 0.544
S 0.476 0.307 0.044
S 0.524 0.693 0.956
S 0.693 0.524 0.456

Entry 4:
Calculated powder X-ray diffraction pattern of TaS2 for a wavelength of 1.5418 Å, from a DFT-relaxed cell (GGA-PBE, the Materials Project).
No peak broadening, texture or thermal motion is included.

Largest 10 diffraction maxima, in order of falling intensity, 10° ≤ 2θ ≤ 90°:
13.84 deg, 6.399 Å, rel. 100; 34.80 deg, 2.578 Å, rel. 44; 30.70 deg, 2.913 Å, rel. 26; 40.26 deg, 2.240 Å, rel. 17; 43.58 deg, 2.077 Å, rel. 17; 56.42 deg, 1.631 Å, rel. 17; 54.40 deg, 1.686 Å, rel. 16; 51.12 deg, 1.787 Å, rel. 14; 32.03 deg, 2.794 Å, rel. 13; 32.80 deg, 2.730 Å, rel. 11

a = 12.945 Å, b = 12.945 Å, c = 12.945 Å
α = 14.97°, β = 14.97°, γ = 14.97°
Fractional positions:
Ta 0.083 0.083 0.083
Ta 0.917 0.917 0.917
S 0.210 0.210 0.210
S 0.376 0.376 0.376
S 0.624 0.624 0.624
S 0.790 0.790 0.790

Entry 5:
Calculated powder X-ray diffraction pattern of TaS for a wavelength of 1.5418 Å, from a DFT-relaxed cell (GGA-PBE, the Materials Project).
No peak broadening, texture or thermal motion is included.

Largest 10 diffraction maxima, in order of falling intensity, 10° ≤ 2θ ≤ 90°:
41.78 deg, 2.162 Å, rel. 100; 31.49 deg, 2.841 Å, rel. 75; 26.75 deg, 3.333 Å, rel. 29; 56.06 deg, 1.640 Å, rel. 24; 72.30 deg, 1.307 Å, rel. 20; 64.87 deg, 1.437 Å, rel. 20; 63.17 deg, 1.472 Å, rel. 17; 82.52 deg, 1.169 Å, rel. 16; 65.73 deg, 1.421 Å, rel. 9; 55.12 deg, 1.666 Å, rel. 8

a = 3.281 Å, b = 3.281 Å, c = 3.333 Å
α = 90.00°, β = 90.00°, γ = 120.00°
Fractional positions:
Ta 0.000 0.000 0.000
S 0.333 0.667 0.500

Entry 6:
Calculated powder X-ray diffraction pattern of TaS2 for a wavelength of 1.5418 Å, from a DFT-relaxed cell (GGA-PBE, the Materials Project).
No peak broadening, texture or thermal motion is included.

Largest 10 diffraction maxima, in order of falling intensity, 10° ≤ 2θ ≤ 90°:
15.01 deg, 5.904 Å, rel. 100; 31.82 deg, 2.812 Å, rel. 56; 34.50 deg, 2.600 Å, rel. 53; 38.60 deg, 2.332 Å, rel. 46; 36.40 deg, 2.468 Å, rel. 41; 41.08 deg, 2.197 Å, rel. 39; 43.80 deg, 2.067 Å, rel. 34; 32.96 deg, 2.717 Å, rel. 33; 31.12 deg, 2.873 Å, rel. 30; 30.88 deg, 2.896 Å, rel. 29

a = 3.343 Å, b = 3.343 Å, c = 23.614 Å
α = 90.00°, β = 90.00°, γ = 119.98°
Fractional positions:
Ta 0.082 0.918 0.750
Ta 0.918 0.082 0.250
S 0.251 0.749 0.184
S 0.251 0.749 0.316
S 0.749 0.251 0.684
S 0.749 0.251 0.816

Entry 7:
Calculated powder X-ray diffraction pattern of TaS2 for a wavelength of 1.5418 Å, from a DFT-relaxed cell (GGA-PBE, the Materials Project).
No peak broadening, texture or thermal motion is included.

Largest 10 diffraction maxima, in order of falling intensity, 10° ≤ 2θ ≤ 90°:
31.29 deg, 2.858 Å, rel. 100; 34.50 deg, 2.600 Å, rel. 77; 40.24 deg, 2.241 Å, rel. 51; 37.10 deg, 2.423 Å, rel. 44; 43.81 deg, 2.066 Å, rel. 38; 20.08 deg, 4.423 Å, rel. 38; 55.96 deg, 1.643 Å, rel. 35; 47.76 deg, 1.904 Å, rel. 31; 54.90 deg, 1.672 Å, rel. 25; 66.49 deg, 1.406 Å, rel. 24

a = 3.345 Å, b = 3.345 Å, c = 17.691 Å
α = 90.00°, β = 90.00°, γ = 120.00°
Fractional positions:
Ta 0.333 0.667 0.250
Ta 0.667 0.333 0.750
S 0.000 0.000 0.162
S 0.000 0.000 0.338
S 0.000 0.000 0.662
S 0.000 0.000 0.838

Entry 8:
Calculated powder X-ray diffraction pattern of TaS2 for a wavelength of 1.5418 Å, from a DFT-relaxed cell (GGA-PBE, the Materials Project).
No peak broadening, texture or thermal motion is included.

Largest 10 diffraction maxima, in order of falling intensity, 10° ≤ 2θ ≤ 90°:
13.52 deg, 6.549 Å, rel. 100; 34.70 deg, 2.585 Å, rel. 33; 39.94 deg, 2.257 Å, rel. 21; 43.13 deg, 2.097 Å, rel. 20; 56.50 deg, 1.629 Å, rel. 19; 30.78 deg, 2.905 Å, rel. 18; 32.79 deg, 2.731 Å, rel. 15; 54.57 deg, 1.682 Å, rel. 15; 32.05 deg, 2.793 Å, rel. 13; 50.40 deg, 1.811 Å, rel. 12

a = 13.241 Å, b = 13.241 Å, c = 13.241 Å
α = 14.59°, β = 14.59°, γ = 14.59°
Fractional positions:
Ta 0.000 0.000 0.000
Ta 0.166 0.166 0.166
S 0.460 0.460 0.460
S 0.627 0.627 0.627
S 0.706 0.706 0.706
S 0.872 0.872 0.872

Entry 9:
Calculated powder X-ray diffraction pattern of TaTl6VS8 for a wavelength of 1.5418 Å, from a DFT-relaxed cell (GGA-PBE, the Materials Project).
No peak broadening, texture or thermal motion is included.

Largest 10 diffraction maxima, in order of falling intensity, 10° ≤ 2θ ≤ 90°:
32.65 deg, 2.742 Å, rel. 100; 22.93 deg, 3.878 Å, rel. 90; 52.78 deg, 1.734 Å, rel. 52; 58.28 deg, 1.583 Å, rel. 35; 40.28 deg, 2.239 Å, rel. 34; 73.22 deg, 1.293 Å, rel. 24; 82.49 deg, 1.169 Å, rel. 15; 46.85 deg, 1.939 Å, rel. 14; 77.89 deg, 1.226 Å, rel. 13; 68.42 deg, 1.371 Å, rel. 12

a = 7.756 Å, b = 7.756 Å, c = 7.756 Å
α = 90.00°, β = 90.00°, γ = 90.00°
Fractional positions:
Ta 0.000 0.000 0.000
Tl 0.000 0.000 0.500
Tl 0.000 0.500 0.000
Tl 0.000 0.500 0.500
Tl 0.500 0.000 0.000
Tl 0.500 0.000 0.500
Tl 0.500 0.500 0.000
V 0.500 0.500 0.500
S 0.170 0.170 0.170
S 0.170 0.830 0.830
S 0.338 0.338 0.662
S 0.338 0.662 0.338
S 0.662 0.338 0.338
S 0.662 0.662 0.662
S 0.830 0.170 0.830
S 0.830 0.830 0.170

Entry 10:
Calculated powder X-ray diffraction pattern of Ta3VS6 for a wavelength of 1.5418 Å, from a DFT-relaxed cell (GGA-PBE, the Materials Project).
No peak broadening, texture or thermal motion is included.

Largest 10 diffraction maxima, in order of falling intensity, 10° ≤ 2θ ≤ 90°:
14.46 deg, 6.125 Å, rel. 100; 43.04 deg, 2.101 Å, rel. 84; 34.32 deg, 2.613 Å, rel. 81; 30.95 deg, 2.889 Å, rel. 52; 55.07 deg, 1.668 Å, rel. 46; 86.23 deg, 1.128 Å, rel. 21; 57.25 deg, 1.609 Å, rel. 18; 72.33 deg, 1.306 Å, rel. 18; 29.16 deg, 3.063 Å, rel. 13; 66.51 deg, 1.406 Å, rel. 12

a = 5.778 Å, b = 5.778 Å, c = 12.250 Å
α = 90.00°, β = 90.00°, γ = 120.00°
Fractional positions:
Ta 0.000 0.000 0.000
Ta 0.000 0.000 0.500
Ta 0.333 0.667 0.002
Ta 0.333 0.667 0.498
Ta 0.667 0.333 0.502
Ta 0.667 0.333 0.998
V 0.333 0.667 0.750
V 0.667 0.333 0.250
S 0.002 0.334 0.629
S 0.002 0.668 0.871
S 0.332 0.334 0.871
S 0.332 0.998 0.629
S 0.334 0.002 0.371
S 0.334 0.332 0.129
S 0.666 0.668 0.629
S 0.666 0.998 0.871
S 0.668 0.002 0.129
S 0.668 0.666 0.371
S 0.998 0.332 0.371
S 0.998 0.666 0.129

Entry 11:
Calculated powder X-ray diffraction pattern of Ta2ZnS4 for a wavelength of 1.5418 Å, from a DFT-relaxed cell (GGA-PBE, the Materials Project).
No peak broadening, texture or thermal motion is included.

Largest 10 diffraction maxima, in order of falling intensity, 10° ≤ 2θ ≤ 90°:
42.14 deg, 2.144 Å, rel. 100; 14.19 deg, 6.242 Å, rel. 82; 30.29 deg, 2.951 Å, rel. 66; 33.59 deg, 2.668 Å, rel. 62; 53.80 deg, 1.704 Å, rel. 31; 84.14 deg, 1.151 Å, rel. 22; 70.61 deg, 1.334 Å, rel. 21; 53.92 deg, 1.701 Å, rel. 17; 28.60 deg, 3.121 Å, rel. 16; 55.94 deg, 1.644 Å, rel. 15

a = 3.408 Å, b = 3.408 Å, c = 12.484 Å
α = 90.00°, β = 90.00°, γ = 120.00°
Fractional positions:
Ta 0.000 0.000 0.248
Ta 0.000 0.000 0.752
Zn 0.000 0.000 0.500
S 0.333 0.667 0.127
S 0.333 0.667 0.375
S 0.667 0.333 0.625
S 0.667 0.333 0.873

Entry 12:
Calculated powder X-ray diffraction pattern of Tb3S for a wavelength of 1.5418 Å, from a DFT-relaxed cell (GGA-PBE, the Materials Project).
No peak broadening, texture or thermal motion is included.

Largest 10 diffraction maxima, in order of falling intensity, 10° ≤ 2θ ≤ 90°:
33.69 deg, 2.661 Å, rel. 100; 39.09 deg, 2.304 Å, rel. 50; 67.40 deg, 1.389 Å, rel. 40; 56.48 deg, 1.629 Å, rel. 34; 19.26 deg, 4.608 Å, rel. 17; 27.37 deg, 3.259 Å, rel. 15; 70.83 deg, 1.330 Å, rel. 12; 43.93 deg, 2.061 Å, rel. 9; 48.38 deg, 1.881 Å, rel. 7; 84.00 deg, 1.152 Å, rel. 6

a = 4.608 Å, b = 4.608 Å, c = 4.608 Å
α = 90.00°, β = 90.00°, γ = 90.00°
Fractional positions:
Tb 0.000 0.000 0.500
Tb 0.000 0.500 0.000
Tb 0.500 0.000 0.000
S 0.500 0.500 0.500